[1]
Diffraction record for Sm2SeO2. The X-ray powder pattern is calculated, not measured: it uses a structure optimized by DFT (GGA-PBE) and Cu Ka.
Intensities are scaled so that the largest is 100.

Most intense lines, 5° ≤ 2θ ≤ 70°, sorted by position:
d [Å]  2θ (°)  I_rel
3.076  29.03  100
2.446  36.75  41
1.978  45.87  34
1.926  47.20  17
1.664  55.20  17
1.508  61.51  15

Structure:
Cell: 3.9565 3.9565 6.9848 Å, 90.00 90.00 120.00°
Element x y z (fractional)
Sm 0.3333 0.6667 0.2104
Sm 0.6667 0.3333 0.7896
Se 0.0000 0.0000 0.5000
O 0.3333 0.6667 0.8744
O 0.6667 0.3333 0.1256

=====

[2]
Diffraction record for Sm2Se3O20. The X-ray powder pattern is calculated, not measured: it uses a structure optimized by DFT (GGA-PBE) and Cu Ka.
Intensities are scaled so that the largest is 100.

Most intense lines, 5° ≤ 2θ ≤ 70°, sorted by position:
d [Å]  2θ (°)  I_rel
6.374  13.89  98
6.077  14.58  63
4.942  17.95  100
3.788  23.48  48
3.772  23.58  63
3.295  27.06  39

Structure:
Cell: 7.7931 7.7931 20.3762 Å, 102.62 102.62 51.66°
Element x y z (fractional)
Sm 0.1254 0.1614 0.3901
Sm 0.1614 0.1254 0.8901
Sm 0.8386 0.8746 0.1099
Sm 0.8746 0.8386 0.6099
Se 0.1880 0.2337 0.0836
Se 0.2337 0.1880 0.5836
Se 0.2717 0.7283 0.7500
Se 0.7283 0.2717 0.2500
Se 0.7663 0.8120 0.4164
Se 0.8120 0.7663 0.9164
O 0.0243 0.7815 0.7206
O 0.0757 0.4611 0.5844
O 0.0853 0.2176 0.0032
O 0.0986 0.4921 0.1115
O 0.1053 0.1612 0.1359
O 0.1612 0.1053 0.6359
O 0.1675 0.8131 0.3765
O 0.1869 0.8325 0.1235
O 0.2176 0.0853 0.5032
O 0.2180 0.7574 0.5953
O 0.2185 0.9757 0.7794
O 0.2426 0.7820 0.9047
O 0.3060 0.3299 0.3481
O 0.3299 0.3060 0.8481
O 0.3669 0.3714 0.9067
O 0.3714 0.3669 0.4067
O 0.4031 0.5692 0.8139
O 0.4308 0.5969 0.6861
O 0.4611 0.0757 0.0844
O 0.4921 0.0986 0.6115
O 0.5079 0.9014 0.3885
O 0.5389 0.9243 0.9156
O 0.5692 0.4031 0.3139
O 0.5969 0.4308 0.1861
O 0.6286 0.6331 0.5933
O 0.6331 0.6286 0.0933
O 0.6701 0.6940 0.1519
O 0.6940 0.6701 0.6519
O 0.7574 0.2180 0.0953
O 0.7815 0.0243 0.2206
O 0.7820 0.2426 0.4047
O 0.7824 0.9147 0.4968
O 0.8131 0.1675 0.8765
O 0.8325 0.1869 0.6235
O 0.8388 0.8947 0.3641
O 0.8947 0.8388 0.8641
O 0.9014 0.5079 0.8885
O 0.9147 0.7824 0.9968
O 0.9243 0.5389 0.4156
O 0.9757 0.2185 0.2794

=====

[3]
Diffraction record for Sm2Se3O20. The X-ray powder pattern is calculated, not measured: it uses a structure optimized by DFT (GGA-PBE) and Cu Ka.
Intensities are scaled so that the largest is 100.

Most intense lines, 5° ≤ 2θ ≤ 70°, sorted by position:
d [Å]  2θ (°)  I_rel
6.554  13.51  67
5.740  15.44  100
4.572  19.42  67
3.750  23.73  55
3.654  24.36  80
3.080  28.99  54

Structure:
Cell: 7.4284 7.4284 18.3258 Å, 91.75 91.75 123.83°
Element x y z (fractional)
Sm 0.1625 0.2975 0.3976
Sm 0.2975 0.1625 0.8976
Sm 0.7025 0.8375 0.1024
Sm 0.8375 0.7025 0.6024
Se 0.1960 0.3250 0.5988
Se 0.3187 0.6813 0.2500
Se 0.3250 0.1960 0.0988
Se 0.6750 0.8040 0.9012
Se 0.6813 0.3187 0.7500
Se 0.8040 0.6750 0.4012
O 0.0624 0.2592 0.8228
O 0.0680 0.3028 0.5183
O 0.0762 0.1162 0.1243
O 0.1162 0.0762 0.6243
O 0.1301 0.3433 0.9387
O 0.1454 0.4465 0.6647
O 0.1527 0.6465 0.1766
O 0.1868 0.7524 0.6426
O 0.2186 0.4339 0.2803
O 0.2476 0.8132 0.8574
O 0.2592 0.0624 0.3228
O 0.2691 0.6768 0.4313
O 0.3028 0.0680 0.0183
O 0.3232 0.7309 0.0687
O 0.3433 0.1301 0.4387
O 0.3535 0.8473 0.3234
O 0.4339 0.2186 0.7803
O 0.4465 0.1454 0.1647
O 0.4575 0.4618 0.0848
O 0.4618 0.4575 0.5848
O 0.5382 0.5425 0.4152
O 0.5425 0.5382 0.9152
O 0.5535 0.8546 0.8353
O 0.5661 0.7814 0.2197
O 0.6465 0.1527 0.6766
O 0.6567 0.8699 0.5613
O 0.6768 0.2691 0.9313
O 0.6972 0.9320 0.9817
O 0.7309 0.3232 0.5687
O 0.7408 0.9376 0.6772
O 0.7524 0.1868 0.1426
O 0.7814 0.5661 0.7197
O 0.8132 0.2476 0.3574
O 0.8473 0.3535 0.8234
O 0.8546 0.5535 0.3353
O 0.8699 0.6567 0.0613
O 0.8838 0.9238 0.3757
O 0.9238 0.8838 0.8757
O 0.9320 0.6972 0.4817
O 0.9376 0.7408 0.1772

=====

[4]
Diffraction record for Sm3Ti3Se2O8. The X-ray powder pattern is calculated, not measured: it uses a structure optimized by DFT (GGA-PBE) and Cu Ka.
Intensities are scaled so that the largest is 100.

Most intense lines, 5° ≤ 2θ ≤ 70°, sorted by position:
d [Å]  2θ (°)  I_rel
3.199  27.89  100
3.062  29.16  98
2.861  31.27  74
2.756  32.48  93
2.558  35.08  71
1.951  46.54  64

Structure:
Cell: 9.8744 3.9028 13.5382 Å, 90.00 111.25 90.00°
Element x y z (fractional)
Sm 0.0478 0.2500 0.1601
Sm 0.4087 0.2500 0.5890
Sm 0.4175 0.7500 0.0856
Sm 0.5825 0.2500 0.9144
Sm 0.5913 0.7500 0.4110
Sm 0.9522 0.7500 0.8399
Ti 0.0449 0.7500 0.5877
Ti 0.1910 0.7500 0.3962
Ti 0.3139 0.7500 0.7696
Ti 0.6861 0.2500 0.2304
Ti 0.8090 0.2500 0.6038
Ti 0.9551 0.2500 0.4123
Se 0.1636 0.2500 0.9840
Se 0.3901 0.2500 0.2535
Se 0.6099 0.7500 0.7465
Se 0.8364 0.7500 0.0160
O 0.0055 0.7500 0.4258
O 0.1209 0.7500 0.2532
O 0.1212 0.7500 0.7488
O 0.1779 0.2500 0.4285
O 0.2503 0.7500 0.6091
O 0.3586 0.2500 0.7623
O 0.3902 0.7500 0.4706
O 0.4411 0.7500 0.9162
O 0.5589 0.2500 0.0838
O 0.6098 0.2500 0.5294
O 0.6414 0.7500 0.2377
O 0.7497 0.2500 0.3909
O 0.8221 0.7500 0.5715
O 0.8788 0.2500 0.2512
O 0.8791 0.2500 0.7468
O 0.9945 0.2500 0.5742

=====

[5]
Diffraction record for Sm2U2Se3O4. The X-ray powder pattern is calculated, not measured: it uses a structure optimized by DFT (GGA-PBE) and Cu Ka.
Intensities are scaled so that the largest is 100.

Most intense lines, 5° ≤ 2θ ≤ 70°, sorted by position:
d [Å]  2θ (°)  I_rel
3.308  26.96  52
3.152  28.32  100
2.568  34.94  24
2.493  36.03  47
2.117  42.72  36
1.996  45.44  22

Structure:
Cell: 7.0562 14.9777 3.9919 Å, 90.00 90.00 90.00°
Element x y z (fractional)
Sm 0.2095 0.1519 0.0000
Sm 0.2905 0.6519 0.0000
Sm 0.7095 0.3481 0.0000
Sm 0.7905 0.8481 0.0000
U 0.2041 0.9232 0.5000
U 0.2959 0.4232 0.5000
U 0.7041 0.5768 0.5000
U 0.7959 0.0768 0.5000
Se 0.0000 0.5000 0.0000
Se 0.0023 0.2768 0.5000
Se 0.4977 0.7768 0.5000
Se 0.5000 0.0000 0.0000
Se 0.5023 0.2232 0.5000
Se 0.9977 0.7232 0.5000
O 0.1112 0.8897 0.0000
O 0.1389 0.0666 0.5000
O 0.3611 0.5666 0.5000
O 0.3888 0.3897 0.0000
O 0.6112 0.6103 0.0000
O 0.6389 0.4334 0.5000
O 0.8611 0.9334 0.5000
O 0.8888 0.1103 0.0000

=====

[6]
Diffraction record for SrSe2O5. The X-ray powder pattern is calculated, not measured: it uses a structure optimized by DFT (GGA-PBE) and Cu Ka.
Intensities are scaled so that the largest is 100.

Most intense lines, 5° ≤ 2θ ≤ 70°, sorted by position:
d [Å]  2θ (°)  I_rel
10.994  8.04  22
3.337  26.71  100
3.158  28.26  69
3.091  28.88  42
3.064  29.15  54
2.923  30.58  58

Structure:
Cell: 7.0479 7.1115 11.1460 Å, 84.89 81.25 79.81°
Element x y z (fractional)
Sr 0.1858 0.1091 0.2568
Sr 0.3060 0.1436 0.6079
Sr 0.6940 0.8564 0.3921
Sr 0.8142 0.8909 0.7432
Se 0.0838 0.6645 0.1241
Se 0.1950 0.6644 0.4590
Se 0.3715 0.2281 0.9317
Se 0.3770 0.6675 0.7124
Se 0.6230 0.3325 0.2876
Se 0.6285 0.7719 0.0683
Se 0.8050 0.3356 0.5410
Se 0.9162 0.3355 0.8759
O 0.0352 0.2706 0.4726
O 0.0404 0.7871 0.2542
O 0.1616 0.4015 0.8751
O 0.1816 0.8420 0.7315
O 0.2008 0.4471 0.1647
O 0.2584 0.0676 0.0220
O 0.2937 0.8688 0.4440
O 0.3132 0.5296 0.5949
O 0.4514 0.2108 0.3689
O 0.4659 0.1253 0.7992
O 0.5341 0.8747 0.2008
O 0.5486 0.7892 0.6311
O 0.6868 0.4704 0.4051
O 0.7063 0.1312 0.5560
O 0.7416 0.9324 0.9780
O 0.7992 0.5529 0.8353
O 0.8184 0.1580 0.2685
O 0.8384 0.5985 0.1249
O 0.9596 0.2129 0.7458
O 0.9648 0.7294 0.5274

=====

[7]
Diffraction record for SrSeO4. The X-ray powder pattern is calculated, not measured: it uses a structure optimized by DFT (GGA-PBE) and Cu Ka.
Intensities are scaled so that the largest is 100.

Most intense lines, 5° ≤ 2θ ≤ 70°, sorted by position:
d [Å]  2θ (°)  I_rel
3.521  25.29  55
3.303  26.99  100
3.085  28.94  100
2.105  42.97  36
2.007  45.17  32
1.863  48.89  26

Structure:
Cell: 6.9749 7.4810 8.7825 Å, 90.00 126.69 90.00°
Element x y z (fractional)
Sr 0.1845 0.1559 0.2816
Sr 0.1845 0.3441 0.7816
Sr 0.8155 0.6559 0.2184
Sr 0.8155 0.8441 0.7184
Se 0.3066 0.6638 0.1939
Se 0.3066 0.8362 0.6939
Se 0.6934 0.1638 0.3061
Se 0.6934 0.3362 0.8061
O 0.1148 0.6629 0.6135
O 0.1148 0.8371 0.1135
O 0.1870 0.5051 0.2477
O 0.1870 0.9949 0.7477
O 0.3314 0.6063 0.0220
O 0.3314 0.8937 0.5220
O 0.4132 0.2142 0.1242
O 0.4132 0.2858 0.6242
O 0.5868 0.7142 0.3758
O 0.5868 0.7858 0.8758
O 0.6686 0.1063 0.4780
O 0.6686 0.3937 0.9780
O 0.8130 0.0051 0.2523
O 0.8130 0.4949 0.7523
O 0.8852 0.1629 0.8865
O 0.8852 0.3371 0.3865